Theoretical PXRD pattern
Compound: K4In3FeO8
Radiation: Cu Kα X-rays
Structure: a GGA+U-relaxed structure
Lines closer than 0.1° are merged.

Structural model:
```
data_K4In3FeO8
_cell_length_a 6.6178
_cell_length_b 6.6178
_cell_length_c 18.4518
_cell_angle_alpha 90.00
_cell_angle_beta 90.00
_cell_angle_gamma 120.00
_symmetry_space_group_name_H-M 'R -3 m'
_symmetry_Int_Tables_number 166
_symmetry_space_group_name_Hall '-R 3 2"'
loop_
_atom_site_label
_atom_site_type_symbol
_atom_site_fract_x
_atom_site_fract_y
_atom_site_fract_z
K1 K 0.0000 0.0000 0.0000
K2 K 0.0000 0.5000 0.0000
In1 In 0.0000 0.5000 0.5000
Fe1 Fe 0.0000 0.0000 0.5000
O1 O 0.0000 0.0000 0.2288
O2 O 0.0153 0.5076 0.2274
```

Most intense lines, 10° ≤ 2θ ≤ 90°, by angle:
2θ (°)	I/Imax
14.40	65.0
29.04	32.0
31.60	17.0
32.72	59.1
36.93	100.0
50.82	31.5
55.55	28.6
63.89	19.6